Calculated powder diffractogram of Na2GeO10 for Cu Kα, 1.54184 Å, from the GGA-PBE geometry in the Materials Project.
Intensities are scaled so that the largest is 100.

The 10 most intense peaks (10° ≤ 2θ ≤ 90°), low angle first:
d = 7.810 Å, 2θ 11.33, intensity 98, hkl 0 1 1; d = 6.080 Å, 2θ 14.57, intensity 70, hkl 0 2 1; d = 5.263 Å, 2θ 16.85, intensity 100, hkl 1 1 -1; d = 4.416 Å, 2θ 20.11, intensity 70, hkl 1 0 -2; d = 4.271 Å, 2θ 20.80, intensity 32, hkl 1 1 -2; d = 3.344 Å, 2θ 26.65, intensity 77, hkl 1 4 -1; d = 3.017 Å, 2θ 29.61, intensity 29, hkl 1 2 -3; d = 2.897 Å, 2θ 30.86, intensity 35, hkl 0 1 3; d = 2.780 Å, 2θ 32.20, intensity 39, hkl 1 4 1; d = 2.629 Å, 2θ 34.10, intensity 31, hkl 1 2 2

Cell and atoms:
```
Na2GeO10
1.0
5.6005 0.0000 0.0000
0.0000 16.7763 0.0000
-4.3199 0.0000 8.8241
Na Ge O
8 4 40
Direct
0.1180 0.1049 0.0894
0.1180 0.3951 0.5894
0.3529 0.2177 0.7049
0.3529 0.2823 0.2049
0.6471 0.7177 0.7951
0.6471 0.7823 0.2951
0.8820 0.6049 0.4106
0.8820 0.8951 0.9106
0.2255 0.5849 0.1121
0.2255 0.9151 0.6121
0.7745 0.0849 0.3879
0.7745 0.4151 0.8879
0.0731 0.7260 0.3831
0.0731 0.7740 0.8831
0.0815 0.1118 0.3576
0.0815 0.3882 0.8576
0.0948 0.0627 0.7038
0.0948 0.4373 0.2038
0.1731 0.5906 0.9151
0.1731 0.9094 0.4151
0.1898 0.1794 0.4315
0.1898 0.3206 0.9315
0.2480 0.0273 0.6366
0.2480 0.4727 0.1366
0.3136 0.7127 0.4970
0.3136 0.7873 0.9970
0.3176 0.6507 0.5911
0.3176 0.8493 0.0911
0.3948 0.0002 0.0071
0.3948 0.4998 0.5071
0.4812 0.6387 0.2367
0.4812 0.8613 0.7367
0.5188 0.1387 0.2633
0.5188 0.3613 0.7633
0.6052 0.9998 0.9929
0.6052 0.5002 0.4929
0.6824 0.1507 0.9089
0.6824 0.3493 0.4089
0.6864 0.2127 0.0030
0.6864 0.2873 0.5030
0.7520 0.5273 0.8634
0.7520 0.9727 0.3634
0.8102 0.6794 0.0685
0.8102 0.8206 0.5685
0.8269 0.0906 0.5849
0.8269 0.4094 0.0849
0.9052 0.5627 0.7962
0.9052 0.9373 0.2962
0.9185 0.6118 0.1424
0.9185 0.8882 0.6424
0.9269 0.2260 0.1169
0.9269 0.2740 0.6169
```